No. 1
For Ag3Sb5, a cell relaxed with PBE gives the computed X-ray diffraction stick pattern in this record (a wavelength of 1.5418 Å).

Peak list (10 most intense, 5° ≤ 2θ ≤ 70°, low angle first)
2θ = 23.44°, rel. 37
2θ = 28.66°, rel. 26
2θ = 31.03°, rel. 27
2θ = 31.17°, rel. 100
2θ = 35.35°, rel. 56
2θ = 37.34°, rel. 67
2θ = 41.19°, rel. 49
2θ = 42.96°, rel. 30
2θ = 46.22°, rel. 73
2θ = 63.64°, rel. 27

Cell lengths 8.7657, 8.7657, 3.1151 Å; angles 90.00, 90.00, 120.00 degrees
Element x y z (fractional)
Ag  0.1697  0.3394  0.0000
Ag  0.1697  0.8303  0.0000
Ag  0.6606  0.8303  0.0000
Sb  0.0000  0.0000  0.5000
Sb  0.3333  0.6667  0.5000
Sb  0.4399  0.2200  0.0000
Sb  0.7800  0.2200  0.0000
Sb  0.7800  0.5601  0.0000


No. 2
For Ag2Sb3, a cell relaxed with PBE gives the computed X-ray diffraction stick pattern in this record (a wavelength of 1.5418 Å).

Peak list (10 most intense, 5° ≤ 2θ ≤ 70°, low angle first)
2θ = 22.16°, rel. 12
2θ = 25.67°, rel. 37
2θ = 34.21°, rel. 100
2θ = 38.89°, rel. 75
2θ = 45.32°, rel. 16
2θ = 47.19°, rel. 9
2θ = 52.75°, rel. 28
2θ = 58.02°, rel. 15
2θ = 61.21°, rel. 8
2θ = 67.44°, rel. 26

Cell lengths 4.6312, 4.6312, 6.9263 Å; angles 90.00, 90.00, 120.00 degrees
Element x y z (fractional)
Ag  0.3333  0.6667  0.3037
Ag  0.6667  0.3333  0.6963
Sb  0.0000  0.0000  0.5000
Sb  0.3333  0.6667  0.8616
Sb  0.6667  0.3333  0.1384


No. 3
For Ag5Sb, a cell relaxed with PBE gives the computed X-ray diffraction stick pattern in this record (a wavelength of 1.5418 Å).

Peak list (6 most intense, 5° ≤ 2θ ≤ 70°, low angle first)
2θ = 36.65°, rel. 100
2θ = 42.20°, rel. 33
2θ = 43.30°, rel. 15
2θ = 61.21°, rel. 10
2θ = 62.03°, rel. 10
2θ = 62.09°, rel. 10

Cell lengths 4.2864, 12.8378, 4.1793 Å; angles 90.00, 90.00, 90.00 degrees
Element x y z (fractional)
Ag  0.0000  0.0000  0.0000
Ag  0.0000  0.1693  0.5000
Ag  0.0000  0.3290  0.0000
Ag  0.0000  0.6710  0.0000
Ag  0.0000  0.8307  0.5000
Ag  0.5000  0.1710  0.0000
Ag  0.5000  0.3307  0.5000
Ag  0.5000  0.5000  0.0000
Ag  0.5000  0.6693  0.5000
Ag  0.5000  0.8290  0.0000
Sb  0.0000  0.5000  0.5000
Sb  0.5000  0.0000  0.5000


No. 4
For Ag5Sb, a cell relaxed with PBE gives the computed X-ray diffraction stick pattern in this record (a wavelength of 1.5418 Å).

Peak list (9 most intense, 5° ≤ 2θ ≤ 70°, low angle first)
2θ = 19.59°, rel. 4
2θ = 32.26°, rel. 28
2θ = 38.02°, rel. 100
2θ = 39.78°, rel. 39
2θ = 46.26°, rel. 4
2θ = 50.69°, rel. 1
2θ = 57.52°, rel. 10
2θ = 61.37°, rel. 31
2θ = 67.50°, rel. 26

Cell lengths 5.5505, 5.5505, 5.5505 Å; angles 60.00, 60.00, 60.00 degrees
Element x y z (fractional)
Ag  0.0000  0.0000  0.0000
Ag  0.1239  0.6254  0.6254
Ag  0.6254  0.1239  0.6254
Ag  0.6254  0.6254  0.1239
Ag  0.6254  0.6254  0.6254
Sb  0.2500  0.2500  0.2500


No. 5
For Ag3Sb, a cell relaxed with PBE gives the computed X-ray diffraction stick pattern in this record (a wavelength of 1.5418 Å).

Peak list (10 most intense, 5° ≤ 2θ ≤ 70°, low angle first)
2θ = 31.79°, rel. 100
2θ = 33.06°, rel. 23
2θ = 34.93°, rel. 42
2θ = 39.07°, rel. 81
2θ = 39.86°, rel. 60
2θ = 40.46°, rel. 28
2θ = 42.04°, rel. 21
2θ = 44.52°, rel. 15
2θ = 46.53°, rel. 15
2θ = 53.31°, rel. 25

Cell lengths 8.0802, 7.8473, 5.4185 Å; angles 90.00, 90.00, 90.00 degrees
Element x y z (fractional)
Ag  0.0484  0.2500  0.0008
Ag  0.2467  0.0604  0.3740
Ag  0.2467  0.4396  0.3740
Ag  0.2533  0.5604  0.8740
Ag  0.2533  0.9396  0.8740
Ag  0.4516  0.7500  0.5008
Ag  0.5484  0.2500  0.4992
Ag  0.7467  0.0604  0.1260
Ag  0.7467  0.4396  0.1260
Ag  0.7533  0.5604  0.6260
Ag  0.7533  0.9396  0.6260
Ag  0.9516  0.7500  0.9992
Sb  0.0825  0.7500  0.4865
Sb  0.4175  0.2500  0.9865
Sb  0.5825  0.7500  0.0135
Sb  0.9175  0.2500  0.5135


No. 6
For Ag5Sb, a cell relaxed with PBE gives the computed X-ray diffraction stick pattern in this record (a wavelength of 1.5418 Å).

Peak list (8 most intense, 5° ≤ 2θ ≤ 70°, low angle first)
2θ = 36.38°, rel. 34
2θ = 36.69°, rel. 100
2θ = 41.87°, rel. 45
2θ = 43.82°, rel. 20
2θ = 60.59°, rel. 7
2θ = 60.82°, rel. 7
2θ = 61.96°, rel. 13
2θ = 62.46°, rel. 13

Cell lengths 5.1654, 9.1376, 5.1147 Å; angles 90.00, 107.02, 90.00 degrees
Element x y z (fractional)
Ag  0.0000  0.0000  0.0000
Ag  0.0000  0.1667  0.5000
Ag  0.0000  0.3286  0.0000
Ag  0.0000  0.6714  0.0000
Ag  0.0000  0.8333  0.5000
Ag  0.5000  0.1714  0.0000
Ag  0.5000  0.3333  0.5000
Ag  0.5000  0.5000  0.0000
Ag  0.5000  0.6667  0.5000
Ag  0.5000  0.8286  0.0000
Sb  0.0000  0.5000  0.5000
Sb  0.5000  0.0000  0.5000


No. 7
For AgSb, a cell relaxed with PBE gives the computed X-ray diffraction stick pattern in this record (a wavelength of 1.5418 Å).

Peak list (10 most intense, 5° ≤ 2θ ≤ 70°, low angle first)
2θ = 29.30°, rel. 20
2θ = 32.88°, rel. 100
2θ = 33.69°, rel. 42
2θ = 35.73°, rel. 15
2θ = 39.43°, rel. 30
2θ = 40.47°, rel. 22
2θ = 40.65°, rel. 13
2θ = 44.63°, rel. 59
2θ = 61.95°, rel. 14
2θ = 65.59°, rel. 16

Cell lengths 3.0483, 8.8786, 6.9077 Å; angles 90.00, 90.00, 90.00 degrees
Element x y z (fractional)
Ag  0.0000  0.0000  0.0000
Ag  0.0000  0.5000  0.5000
Ag  0.5000  0.0000  0.3691
Ag  0.5000  0.5000  0.8691
Sb  0.0000  0.2008  0.6691
Sb  0.0000  0.2992  0.1691
Sb  0.0000  0.7008  0.1691
Sb  0.0000  0.7992  0.6691


No. 8
For Ag5Sb, a cell relaxed with PBE gives the computed X-ray diffraction stick pattern in this record (a wavelength of 1.5418 Å).

Peak list (6 most intense, 5° ≤ 2θ ≤ 70°, low angle first)
2θ = 34.15°, rel. 24
2θ = 37.24°, rel. 26
2θ = 39.05°, rel. 100
2θ = 51.42°, rel. 15
2θ = 61.14°, rel. 17
2θ = 68.36°, rel. 18

Cell lengths 5.2511, 5.2511, 4.8286 Å; angles 90.00, 90.00, 120.00 degrees
Element x y z (fractional)
Ag  0.0000  0.6573  0.0000
Ag  0.3333  0.6667  0.5000
Ag  0.3427  0.3427  0.0000
Ag  0.6573  0.0000  0.0000
Ag  0.6667  0.3333  0.5000
Sb  0.0000  0.0000  0.5000


No. 9
For AgSb, a cell relaxed with PBE gives the computed X-ray diffraction stick pattern in this record (a wavelength of 1.5418 Å).

Peak list (10 most intense, 5° ≤ 2θ ≤ 70°, low angle first)
2θ = 31.81°, rel. 84
2θ = 32.13°, rel. 100
2θ = 32.83°, rel. 56
2θ = 39.63°, rel. 25
2θ = 40.09°, rel. 73
2θ = 42.47°, rel. 37
2θ = 42.61°, rel. 41
2θ = 44.26°, rel. 20
2θ = 64.35°, rel. 22
2θ = 66.31°, rel. 24

Cell lengths 5.9818, 7.4558, 4.4451 Å; angles 90.00, 109.41, 90.00 degrees
Element x y z (fractional)
Ag  0.0000  0.1938  0.0000
Ag  0.0000  0.8062  0.0000
Ag  0.5000  0.3062  0.0000
Ag  0.5000  0.6938  0.0000
Sb  0.2252  0.5000  0.3802
Sb  0.2748  0.0000  0.6198
Sb  0.7252  0.0000  0.3802
Sb  0.7748  0.5000  0.6198


No. 10
For SmScAgSb, a cell relaxed with PBE gives the computed X-ray diffraction stick pattern in this record (a wavelength of 1.5418 Å).

Peak list (8 most intense, 5° ≤ 2θ ≤ 70°, low angle first)
2θ = 21.13°, rel. 14
2θ = 24.44°, rel. 1
2θ = 34.84°, rel. 100
2θ = 41.10°, rel. 8
2θ = 50.10°, rel. 17
2θ = 54.95°, rel. 3
2θ = 62.47°, rel. 35
2θ = 66.73°, rel. 3

Cell lengths 7.2835, 7.2835, 7.2835 Å; angles 90.00, 90.00, 90.00 degrees
Element x y z (fractional)
Sm  0.0000  0.0000  0.0000
Sm  0.0000  0.5000  0.5000
Sm  0.5000  0.0000  0.5000
Sm  0.5000  0.5000  0.0000
Sc  0.0000  0.0000  0.5000
Sc  0.0000  0.5000  0.0000
Sc  0.5000  0.0000  0.0000
Sc  0.5000  0.5000  0.5000
Ag  0.2500  0.2500  0.2500
Ag  0.2500  0.7500  0.7500
Ag  0.7500  0.2500  0.7500
Ag  0.7500  0.7500  0.2500
Sb  0.2500  0.2500  0.7500
Sb  0.2500  0.7500  0.2500
Sb  0.7500  0.2500  0.2500
Sb  0.7500  0.7500  0.7500


No. 11
For Ag2SbSe3, a cell relaxed with PBE gives the computed X-ray diffraction stick pattern in this record (a wavelength of 1.5418 Å).

Peak list (10 most intense, 5° ≤ 2θ ≤ 70°, low angle first)
2θ = 22.06°, rel. 62
2θ = 23.88°, rel. 100
2θ = 25.38°, rel. 89
2θ = 25.49°, rel. 45
2θ = 27.09°, rel. 78
2θ = 39.83°, rel. 96
2θ = 43.04°, rel. 42
2θ = 44.79°, rel. 44
2θ = 45.80°, rel. 86
2θ = 47.82°, rel. 58

Cell lengths 7.4819, 7.4819, 7.0183 Å; angles 90.00, 90.00, 65.17 degrees
Element x y z (fractional)
Ag  0.0119  0.3319  0.0000
Ag  0.3319  0.0119  0.5000
Ag  0.6681  0.9881  0.0000
Ag  0.9881  0.6681  0.5000
Sb  0.3223  0.6777  0.0240
Sb  0.6777  0.3223  0.5240
Se  0.0143  0.3202  0.6236
Se  0.2969  0.7031  0.6537
Se  0.3202  0.0143  0.1236
Se  0.6798  0.9857  0.6236
Se  0.7031  0.2969  0.1537
Se  0.9857  0.6798  0.1236


No. 12
For Ag5SbSe4, a cell relaxed with PBE gives the computed X-ray diffraction stick pattern in this record (a wavelength of 1.5418 Å).

Peak list (10 most intense, 5° ≤ 2θ ≤ 70°, low angle first)
2θ = 26.84°, rel. 100
2θ = 35.74°, rel. 50
2θ = 36.01°, rel. 50
2θ = 36.24°, rel. 91
2θ = 36.47°, rel. 95
2θ = 37.54°, rel. 66
2θ = 38.68°, rel. 53
2θ = 43.85°, rel. 66
2θ = 44.05°, rel. 83
2θ = 44.59°, rel. 58

Cell lengths 4.1124, 6.7486, 8.6993 Å; angles 102.78, 102.64, 90.06 degrees
Element x y z (fractional)
Ag  0.0000  0.0000  0.0000
Ag  0.2963  0.8414  0.6032
Ag  0.3094  0.4048  0.6082
Ag  0.6906  0.5952  0.3918
Ag  0.7037  0.1586  0.3968
Sb  0.0000  0.5000  0.0000
Se  0.1359  0.8301  0.2938
Se  0.4445  0.7284  0.8778
Se  0.5555  0.2716  0.1222
Se  0.8641  0.1699  0.7062


No. 13
For Ag4Sb3Se8, a cell relaxed with PBE gives the computed X-ray diffraction stick pattern in this record (a wavelength of 1.5418 Å).

Peak list (10 most intense, 5° ≤ 2θ ≤ 70°, low angle first)
2θ = 25.79°, rel. 25
2θ = 31.13°, rel. 93
2θ = 31.42°, rel. 100
2θ = 31.92°, rel. 97
2θ = 44.74°, rel. 32
2θ = 44.90°, rel. 32
2θ = 45.19°, rel. 63
2θ = 45.40°, rel. 69
2θ = 56.01°, rel. 31
2θ = 56.14°, rel. 32

Cell lengths 7.9917, 7.9917, 8.0760 Å; angles 120.05, 120.05, 89.12 degrees
Element x y z (fractional)
Ag  0.0000  0.0000  0.0000
Ag  0.0000  0.0000  0.5000
Ag  0.0000  0.5000  0.0000
Ag  0.5000  0.0000  0.0000
Sb  0.0000  0.5000  0.5000
Sb  0.5000  0.0000  0.5000
Sb  0.5000  0.5000  0.5000
Se  0.2254  0.2254  0.9971
Se  0.2300  0.7700  0.0000
Se  0.2454  0.7546  0.5000
Se  0.2978  0.2978  0.5921
Se  0.7022  0.7022  0.4079
Se  0.7546  0.2454  0.5000
Se  0.7700  0.2300  0.0000
Se  0.7746  0.7746  0.0029


No. 14
For Ag2Sb3Se6, a cell relaxed with PBE gives the computed X-ray diffraction stick pattern in this record (a wavelength of 1.5418 Å).

Peak list (10 most intense, 5° ≤ 2θ ≤ 70°, low angle first)
2θ = 15.26°, rel. 8
2θ = 30.95°, rel. 52
2θ = 31.27°, rel. 100
2θ = 44.51°, rel. 37
2θ = 44.67°, rel. 55
2θ = 44.90°, rel. 18
2θ = 55.39°, rel. 29
2θ = 55.65°, rel. 9
2θ = 64.50°, rel. 6
2θ = 65.24°, rel. 11

Cell lengths 7.0235, 7.0235, 7.0634 Å; angles 99.92, 99.92, 119.89 degrees
Element x y z (fractional)
Ag  0.1657  0.8343  0.0000
Ag  0.8343  0.1657  0.0000
Sb  0.0000  0.0000  0.5000
Sb  0.3320  0.6680  0.5000
Sb  0.6680  0.3320  0.5000
Se  0.0802  0.4208  0.7519
Se  0.2386  0.2386  0.2428
Se  0.4208  0.0802  0.7519
Se  0.5792  0.9198  0.2481
Se  0.7614  0.7614  0.7572
Se  0.9198  0.5792  0.2481